No. 1
This entry pairs a crystal structure of UTaZn17 with its simulated PXRD pattern. Radiation: Cu Kα X-rays. Structure: DFT lattice parameters and positions (GGA-PBE).
Neutral-atom scattering factors, no anomalous dispersion.

Structure:
Cell: 6.7190 6.7190 6.7190 Å, 82.36 82.36 82.36°
Positions (direct):
U 0.0000 0.0000 0.0000
Ta 0.6566 0.6566 0.6566
Zn 0.0310 0.3412 0.6322
Zn 0.0310 0.6322 0.3412
Zn 0.2072 0.6847 0.6847
Zn 0.2418 0.2418 0.2418
Zn 0.3174 0.3174 0.8525
Zn 0.3174 0.8525 0.3174
Zn 0.3412 0.0310 0.6322
Zn 0.3412 0.6322 0.0310
Zn 0.4400 0.4400 0.4400
Zn 0.5297 0.9628 0.9628
Zn 0.6322 0.0310 0.3412
Zn 0.6322 0.3412 0.0310
Zn 0.6847 0.2072 0.6847
Zn 0.6847 0.6847 0.2072
Zn 0.8525 0.3174 0.3174
Zn 0.9628 0.5297 0.9628
Zn 0.9628 0.9628 0.5297

Top 10 peaks for 10° ≤ 2θ ≤ 90°, in order of rising 2θ:
| 2theta | I_rel |
| --- | --- |
| 28.73 | 32 |
| 33.84 | 16 |
| 35.14 | 42 |
| 36.09 | 20 |
| 40.80 | 47 |
| 40.94 | 100 |
| 41.37 | 25 |
| 41.78 | 27 |
| 74.27 | 13 |
| 75.15 | 17 |



No. 2
This entry pairs a crystal structure of TaV5 with its simulated PXRD pattern. Radiation: Cu Kα X-rays. Structure: DFT lattice parameters and positions (GGA-PBE).
Neutral-atom scattering factors, no anomalous dispersion.

Structure:
Cell: 4.3320 4.3320 5.2912 Å, 90.00 90.00 120.00°
Positions (direct):
Ta 0.0000 0.0000 0.0000
V 0.0000 0.0000 0.5000
V 0.3333 0.6667 0.1812
V 0.3333 0.6667 0.6602
V 0.6667 0.3333 0.3398
V 0.6667 0.3333 0.8188

Top 10 peaks for 10° ≤ 2θ ≤ 90°, in order of rising 2θ:
| 2theta | I_rel |
| --- | --- |
| 16.76 | 11 |
| 23.72 | 18 |
| 29.18 | 24 |
| 41.74 | 100 |
| 45.24 | 6 |
| 51.70 | 5 |
| 60.50 | 17 |
| 68.51 | 5 |
| 76.16 | 24 |
| 76.33 | 8 |



No. 3
This entry pairs a crystal structure of TaV with its simulated PXRD pattern. Radiation: Cu Kα X-rays. Structure: DFT lattice parameters and positions (GGA-PBE).
Neutral-atom scattering factors, no anomalous dispersion.

Structure:
Cell: 3.1703 3.1703 3.1703 Å, 90.00 90.00 90.00°
Positions (direct):
Ta 0.0000 0.0000 0.0000
V 0.5000 0.5000 0.5000

Top 7 peaks for 10° ≤ 2θ ≤ 90°, in order of rising 2θ:
| 2theta | I_rel |
| --- | --- |
| 28.15 | 40 |
| 40.23 | 100 |
| 49.82 | 12 |
| 58.20 | 17 |
| 65.88 | 16 |
| 73.12 | 34 |
| 86.91 | 11 |



No. 4
This entry pairs a crystal structure of Ta2VW5 with its simulated PXRD pattern. Radiation: Cu Kα X-rays. Structure: DFT lattice parameters and positions (GGA-PBE).
Neutral-atom scattering factors, no anomalous dispersion.

Structure:
Cell: 5.5250 5.5250 5.5250 Å, 109.52 109.52 109.38°
Positions (direct):
Ta 0.0000 0.5000 0.5000
Ta 0.5000 0.0000 0.5000
V 0.0000 0.0000 0.0000
W 0.0000 0.0000 0.5000
W 0.0000 0.5000 0.0000
W 0.5000 0.0000 0.0000
W 0.5000 0.5000 0.0000
W 0.5000 0.5000 0.5000

Top 10 peaks for 10° ≤ 2θ ≤ 90°, in order of rising 2θ:
| 2theta | I_rel |
| --- | --- |
| 19.68 | 6 |
| 27.97 | 1 |
| 34.43 | 3 |
| 39.97 | 100 |
| 44.93 | 1 |
| 53.76 | 2 |
| 57.74 | 6 |
| 57.85 | 11 |
| 72.60 | 35 |
| 86.25 | 11 |



No. 5
This entry pairs a crystal structure of Ta14VW with its simulated PXRD pattern. Radiation: Cu Kα X-rays. Structure: DFT lattice parameters and positions (GGA-PBE).
Neutral-atom scattering factors, no anomalous dispersion.

Structure:
Cell: 5.7096 5.7096 9.3151 Å, 90.00 90.00 109.22°
Positions (direct):
Ta 0.0000 0.0000 0.0000
Ta 0.0000 0.5000 0.0000
Ta 0.0000 0.5000 0.5000
Ta 0.2488 0.7512 0.2493
Ta 0.2488 0.7512 0.7507
Ta 0.2497 0.2497 0.2604
Ta 0.2497 0.2497 0.7396
Ta 0.5000 0.0000 0.0000
Ta 0.5000 0.0000 0.5000
Ta 0.5000 0.5000 0.0000
Ta 0.7503 0.7503 0.2604
Ta 0.7503 0.7503 0.7396
Ta 0.7512 0.2488 0.2493
Ta 0.7512 0.2488 0.7507
V 0.0000 0.0000 0.5000
W 0.5000 0.5000 0.5000

Top 10 peaks for 10° ≤ 2θ ≤ 90°, in order of rising 2θ:
| 2theta | I_rel |
| --- | --- |
| 19.03 | 1 |
| 33.28 | 1 |
| 34.69 | 1 |
| 38.62 | 100 |
| 55.59 | 6 |
| 55.85 | 11 |
| 69.77 | 12 |
| 69.94 | 23 |
| 82.73 | 7 |
| 82.95 | 4 |



No. 6
This entry pairs a crystal structure of Ta2V4W5 with its simulated PXRD pattern. Radiation: Cu Kα X-rays. Structure: DFT lattice parameters and positions (GGA-PBE).
Neutral-atom scattering factors, no anomalous dispersion.

Structure:
Cell: 2.7751 6.7562 9.2948 Å, 91.96 95.68 97.94°
Positions (direct):
Ta 0.0908 0.3069 0.4543
Ta 0.9092 0.6931 0.5457
V 0.1845 0.1347 0.9108
V 0.2828 0.9525 0.3549
V 0.7172 0.0475 0.6451
V 0.8155 0.8653 0.0892
W 0.0000 0.5000 0.0000
W 0.3719 0.7822 0.8240
W 0.4561 0.5960 0.2675
W 0.5439 0.4040 0.7325
W 0.6281 0.2178 0.1760

Top 10 peaks for 10° ≤ 2θ ≤ 90°, in order of rising 2θ:
| 2theta | I_rel |
| --- | --- |
| 13.25 | 44 |
| 27.95 | 16 |
| 40.05 | 51 |
| 40.22 | 100 |
| 40.75 | 95 |
| 41.22 | 46 |
| 58.36 | 17 |
| 58.75 | 16 |
| 72.43 | 18 |
| 73.87 | 16 |



No. 7
This entry pairs a crystal structure of TaV4W4 with its simulated PXRD pattern. Radiation: Cu Kα X-rays. Structure: DFT lattice parameters and positions (GGA-PBE).
Neutral-atom scattering factors, no anomalous dispersion.

Structure:
Cell: 5.6019 5.6019 9.7973 Å, 90.00 90.00 90.00°
Positions (direct):
Ta 0.2500 0.7500 0.2500
Ta 0.7500 0.2500 0.7500
V 0.0016 0.7500 0.5146
V 0.2500 0.5016 0.9854
V 0.2500 0.9984 0.9854
V 0.4984 0.7500 0.5146
V 0.5016 0.2500 0.4854
V 0.7500 0.0016 0.0146
V 0.7500 0.4984 0.0146
V 0.9984 0.2500 0.4854
W 0.0204 0.2500 0.1753
W 0.2500 0.0204 0.6753
W 0.2500 0.4796 0.6753
W 0.4796 0.2500 0.1753
W 0.5204 0.7500 0.8247
W 0.7500 0.5204 0.3247
W 0.7500 0.9796 0.3247
W 0.9796 0.7500 0.8247

Top 10 peaks for 10° ≤ 2θ ≤ 90°, in order of rising 2θ:
| 2theta | I_rel |
| --- | --- |
| 18.11 | 38 |
| 24.13 | 47 |
| 37.03 | 100 |
| 40.18 | 23 |
| 40.44 | 13 |
| 42.52 | 88 |
| 45.81 | 23 |
| 66.80 | 16 |
| 75.45 | 20 |
| 82.47 | 24 |



No. 8
This entry pairs a crystal structure of Ta2VW2 with its simulated PXRD pattern. Radiation: Cu Kα X-rays. Structure: DFT lattice parameters and positions (GGA-PBE).
Neutral-atom scattering factors, no anomalous dispersion.

Structure:
Cell: 8.2205 8.2205 3.2371 Å, 90.00 90.00 156.74°
Positions (direct):
Ta 0.0975 0.9025 0.0000
Ta 0.9025 0.0975 0.0000
V 0.5000 0.5000 0.5000
W 0.3115 0.6885 0.5000
W 0.6885 0.3115 0.5000

Top 10 peaks for 10° ≤ 2θ ≤ 90°, in order of rising 2θ:
| 2theta | I_rel |
| --- | --- |
| 29.75 | 40 |
| 35.59 | 26 |
| 39.00 | 100 |
| 39.31 | 81 |
| 42.52 | 40 |
| 43.82 | 47 |
| 55.46 | 19 |
| 71.13 | 34 |
| 73.23 | 21 |
| 77.07 | 24 |